(1)
The following is a theoretical powder X-ray diffraction pattern of In5AgSe8. It was derived from a cell relaxed with PBE, using Cu Ka.
Intensities are scaled so that the largest is 100.

Top 8 peaks for 10 to 80 degrees two-theta, by angle:
25.86 deg, intensity 100; 27.11 deg, intensity 8; 42.49 deg, intensity 13; 42.72 deg, intensity 12; 42.91 deg, intensity 24; 43.10 deg, intensity 23; 50.27 deg, intensity 7; 51.21 deg, intensity 13

Cell and atoms:
Lattice parameters (Å, degrees): 7.260 7.260 8.510 90.28 90.28 108.67
Element x y z (fractional)
1 In 0.000 0.000 0.000
2 In 0.002 0.523 0.754
3 In 0.477 0.523 0.500
4 In 0.477 0.998 0.246
5 In 0.990 0.010 0.500
6 Ag 0.488 0.512 0.000
7 Se 0.327 0.623 0.250
8 Se 0.376 0.132 0.518
9 Se 0.377 0.126 0.984
10 Se 0.377 0.673 0.750
11 Se 0.841 0.131 0.752
12 Se 0.868 0.624 0.482
13 Se 0.869 0.159 0.248
14 Se 0.874 0.623 0.016



(2)
The following is a theoretical powder X-ray diffraction pattern of Cu3SbF12. It was derived from a cell relaxed with PBE, using Cu Ka.
Intensities are scaled so that the largest is 100.

Top 8 peaks for 10 to 80 degrees two-theta, by angle:
15.97 deg, intensity 8; 22.66 deg, intensity 100; 32.26 deg, intensity 30; 46.27 deg, intensity 26; 52.11 deg, intensity 38; 57.52 deg, intensity 12; 67.51 deg, intensity 14; 72.22 deg, intensity 16

Cell and atoms:
Lattice parameters (Å, degrees): 6.797 6.797 6.797 109.47 109.47 109.47
Element x y z (fractional)
1 Cu 0.000 0.500 0.500
2 Cu 0.500 0.000 0.500
3 Cu 0.500 0.500 0.000
4 Sb 0.000 0.000 0.000
5 F 0.000 0.243 0.243
6 F 0.000 0.757 0.757
7 F 0.243 0.000 0.243
8 F 0.243 0.243 0.000
9 F 0.250 0.500 0.750
10 F 0.250 0.750 0.500
11 F 0.500 0.250 0.750
12 F 0.500 0.750 0.250
13 F 0.750 0.250 0.500
14 F 0.750 0.500 0.250
15 F 0.757 0.000 0.757
16 F 0.757 0.757 0.000